[1]
# Sr4CaMn2Ga2O10
Calculated powder X-ray diffraction pattern, Cu Kα X-rays. Input: a DFT-relaxed cell (GGA+U, Alexandria).
Peak positions follow from Bragg's law for the DFT cell and can differ from measured ones.

a b c (Å): 9.4168 7.5897 9.2623
angles (deg): 90.00 109.17 90.00
Space group Cm (No. 8)
Inequivalent atoms, fractional coordinates:
Sr 0.0000 0.0000 0.0000 (multiplicity 2)
Sr 0.0009 0.5000 0.5978 (multiplicity 2)
Sr 0.1046 0.5000 0.0263 (multiplicity 2)
Sr 0.2176 0.5000 0.4058 (multiplicity 2)
Ca 0.1355 0.0000 0.3775 (multiplicity 2)
Mn 0.3681 0.2279 0.1993 (multiplicity 4)
Ga 0.2284 0.1734 0.7734 (multiplicity 4)
O 0.0830 0.0000 0.7757 (multiplicity 2)
O 0.1038 0.2501 0.2038 (multiplicity 4)
O 0.1787 0.2676 0.5803 (multiplicity 4)
O 0.2794 0.2955 0.9542 (multiplicity 4)
O 0.3794 0.0000 0.3302 (multiplicity 2)
O 0.3836 0.5000 0.2611 (multiplicity 2)
O 0.3849 0.0000 0.7912 (multiplicity 2)

Principal peaks in the range 2θ from 10° to 90°, sorted by position:
| d (Å) | I_rel |
| --- | --- |
| 4.406 | 73 |
| 3.176 | 72 |
| 2.934 | 100 |
| 2.917 | 83 |
| 2.900 | 76 |
| 2.887 | 57 |
| 2.865 | 90 |
| 2.706 | 50 |
| 2.347 | 40 |
| 2.312 | 80 |
| 1.791 | 37 |
| 1.637 | 39 |



[2]
# Sr4CaMn2Ga2O10
Calculated powder X-ray diffraction pattern, Cu Kα X-rays. Input: a DFT-relaxed cell (GGA+U, Alexandria).
Peak positions follow from Bragg's law for the DFT cell and can differ from measured ones.

a b c (Å): 8.1630 8.3515 16.8094
angles (deg): 90.00 90.00 90.00
Space group Fmmm (No. 69)
Inequivalent atoms, fractional coordinates:
Sr 0.2456 0.0000 0.1536 (multiplicity 16)
Ca 0.0000 0.0000 0.0000 (multiplicity 4)
Mn 0.0000 0.2500 0.2500 (multiplicity 8)
Ga 0.0000 0.1647 0.5000 (multiplicity 8)
O 0.0000 0.0000 0.2590 (multiplicity 8)
O 0.0000 0.2058 0.0909 (multiplicity 16)
O 0.1704 0.0000 0.5000 (multiplicity 8)
O 0.2500 0.2500 0.2500 (multiplicity 8)

Principal peaks in the range 2θ from 10° to 90°, sorted by position:
| d (Å) | I_rel |
| --- | --- |
| 3.671 | 16 |
| 2.962 | 23 |
| 2.923 | 100 |
| 2.397 | 10 |
| 2.326 | 24 |
| 2.310 | 10 |
| 2.088 | 11 |
| 2.041 | 20 |
| 2.021 | 9 |
| 1.681 | 12 |
| 1.549 | 14 |
| 1.534 | 10 |